Structure and simulated powder XRD pattern of AsRuW2 (a DFT-relaxed cell (PBE, Alexandria); copper Kα).

Principal peaks in the range 10 to 90 degrees two-theta, in order of rising 2θ:
| 2theta | intensity |
| --- | --- |
| 25.8 | 8 |
| 30.2 | 12 |
| 40.1 | 100 |
| 43.3 | 41 |
| 51.1 | 6 |
| 53.0 | 11 |
| 62.9 | 14 |
| 70.8 | 18 |
| 77.3 | 30 |
| 86.7 | 11 |

Structural model:
Lattice parameters (Å, degrees): 2.956 2.956 6.908 90.00 90.00 90.00
Fractional coordinates of all 4 atoms:
As1 0.000 0.000 0.000
Ru1 0.000 0.000 0.500
W1 0.500 0.500 0.240
W2 0.500 0.500 0.760



Structure and simulated powder XRD pattern of YAs3Ru5 (a DFT-relaxed cell (PBE, Alexandria); copper Kα).

Principal peaks in the range 10 to 90 degrees two-theta, in order of rising 2θ:
| 2theta | intensity |
| --- | --- |
| 35.0 | 99 |
| 35.1 | 47 |
| 37.4 | 100 |
| 38.9 | 63 |
| 40.4 | 84 |
| 40.8 | 53 |
| 45.3 | 40 |
| 46.7 | 63 |
| 47.1 | 45 |
| 59.0 | 40 |

Structural model:
Lattice parameters (Å, degrees): 6.812 6.812 14.244 90.00 90.00 153.45
Fractional coordinates of all 18 atoms:
Y1 0.162 0.838 0.750
Y2 0.838 0.162 0.250
As1 0.125 0.875 0.250
As2 0.365 0.635 0.051
As3 0.365 0.635 0.449
As4 0.635 0.365 0.551
As5 0.635 0.365 0.949
As6 0.875 0.125 0.750
Ru1 0.000 0.000 0.000
Ru2 0.000 0.000 0.500
Ru3 0.190 0.810 0.086
Ru4 0.190 0.810 0.414
Ru5 0.486 0.514 0.656
Ru6 0.486 0.514 0.844
Ru7 0.514 0.486 0.156
Ru8 0.514 0.486 0.344
Ru9 0.810 0.190 0.586
Ru10 0.810 0.190 0.914